KNbF6: simulated powder XRD pattern (Cu Kα), based on a structure optimized by DFT (GGA-PBE).
Lines closer than 0.1° are merged.

Structural model:
Cell lengths 5.3531, 5.3531, 10.0604 Å; angles 90.00, 90.00, 90.00 degrees
Space group P-4c2 (No. 116)
Symmetry-distinct sites (fractional):
K: 0.0000 0.0000 0.0000 x2
Nb: 0.5000 0.5000 0.2500 x2
F: 0.2423 0.2423 0.2500 x4
F: 0.3083 0.3286 0.6142 x8

Most intense lines, 2θ from 15° to 90°, in order of rising 2θ:
| two_theta | intensity | index |
| --- | --- | --- |
| 16.56 | 54 | 1 0 0 |
| 17.63 | 22 | 0 0 2 |
| 23.50 | 73 | 1 1 0 |
| 24.28 | 100 | 1 0 2 |
| 35.76 | 24 | 0 0 4 |
| 41.79 | 52 | 2 1 2 |
| 43.19 | 18 | 1 1 4 |
| 48.07 | 18 | 2 2 0 |


CaHo3: simulated powder XRD pattern (Cu Kα), based on a structure optimized by DFT (GGA-PBE).
Lines closer than 0.1° are merged.

Structural model:
Cell lengths 5.0893, 5.0893, 10.1297 Å; angles 90.00, 90.00, 90.00 degrees
Space group I4/mmm (No. 139)
Symmetry-distinct sites (fractional):
Ca: 0.0000 0.0000 0.0000 x2
Ho: 0.0000 0.0000 0.5000 x2
Ho: 0.0000 0.5000 0.2500 x4

Most intense lines, 2θ from 15° to 90°, in order of rising 2θ:
| two_theta | intensity | index |
| --- | --- | --- |
| 19.52 | 15 | 1 0 1 |
| 30.47 | 100 | 1 1 2 |
| 35.27 | 34 | 2 0 0 |
| 35.45 | 17 | 0 0 4 |
| 50.87 | 24 | 2 0 4 |
| 60.35 | 29 | 3 1 2 |
| 60.58 | 14 | 1 1 6 |
| 63.41 | 12 | 2 2 4 |